(1)
For AcHoCuRu, a structure optimized by DFT (GGA-PBE) gives the calculated X-ray powder pattern in this record (Cu Ka).

Main lines, in order of falling intensity (2θ from 15° to 90°):
2.529 Å, 2θ 35.49, I = 100
1.460 Å, 2θ 63.73, I = 36
1.788 Å, 2θ 51.07, I = 18
3.577 Å, 2θ 24.89, I = 17
1.131 Å, 2θ 85.94, I = 16
1.265 Å, 2θ 75.13, I = 11

Structural model:
```
data_AcHoCuRu
_cell_length_a 7.154
_cell_length_b 7.154
_cell_length_c 7.154
_cell_angle_alpha 90.00
_cell_angle_beta 90.00
_cell_angle_gamma 90.00
_space_group_name_H-M_alt 'F -4 3 m'
_space_group_IT_number 216
_space_group_name_Hall 'F -4 2 3'
loop_
_atom_site_label
_atom_site_type_symbol
_atom_site_fract_x
_atom_site_fract_y
_atom_site_fract_z
Ac1 Ac 0.000 0.000 0.000
Ho1 Ho 0.000 0.000 0.500
Cu1 Cu 0.250 0.250 0.250
Ru1 Ru 0.250 0.250 0.750
```

=====

(2)
For TbTh3Pb5, a structure optimized by DFT (GGA-PBE) gives the calculated X-ray powder pattern in this record (Cu Ka).

Main lines, in order of falling intensity (2θ from 15° to 90°):
2.725 Å, 2θ 32.87, I = 100
2.813 Å, 2θ 31.81, I = 90
2.870 Å, 2θ 31.17, I = 55
1.957 Å, 2θ 46.39, I = 28
1.419 Å, 2θ 65.81, I = 23
1.607 Å, 2θ 57.35, I = 21

Structural model:
```
data_TbTh3Pb5
_cell_length_a 9.7436
_cell_length_b 9.7436
_cell_length_c 6.5746
_cell_angle_alpha 90.00
_cell_angle_beta 90.00
_cell_angle_gamma 120.00
_space_group_name_H-M_alt 'P 63/m c m'
_space_group_IT_number 193
_space_group_name_Hall '-P 6c 2'
loop_
_atom_site_label
_atom_site_type_symbol
_atom_site_fract_x
_atom_site_fract_y
_atom_site_fract_z
Tb1 Tb 0.0000 0.0000 0.0000
Th1 Th 0.0000 0.3838 0.2500
Pb1 Pb 0.0000 0.2784 0.7500
Pb2 Pb 0.3333 0.6667 0.0000
```

=====

(3)
For AgAsN, a structure optimized by DFT (GGA-PBE) gives the calculated X-ray powder pattern in this record (Cu Ka).

Main lines, in order of falling intensity (2θ from 15° to 90°):
2.918 Å, 2θ 30.64, I = 100
2.256 Å, 2θ 39.96, I = 79
2.982 Å, 2θ 29.96, I = 69
2.668 Å, 2θ 33.58, I = 62
2.362 Å, 2θ 38.10, I = 56
2.537 Å, 2θ 35.38, I = 39

Structural model:
```
data_AgAsN
_cell_length_a 2.904
_cell_length_b 3.626
_cell_length_c 10.253
_cell_angle_alpha 88.69
_cell_angle_beta 81.86
_cell_angle_gamma 89.95
_space_group_name_H-M_alt 'P -1'
_space_group_IT_number 2
loop_
_space_group_symop_operation_xyz
'x,y,z'
'-x,-y,-z'
loop_
_atom_site_label
_atom_site_type_symbol
_atom_site_fract_x
_atom_site_fract_y
_atom_site_fract_z
Ag1 Ag 0.207 0.233 0.087
As1 As 0.437 0.328 0.627
N1 N 0.100 0.438 0.300
```

=====

(4)
For TlIrOsO6, a structure optimized by DFT (GGA-PBE) gives the calculated X-ray powder pattern in this record (Cu Ka).

Main lines, in order of falling intensity (2θ from 15° to 90°):
3.086 Å, 2θ 28.93, I = 100
3.055 Å, 2θ 29.24, I = 49
2.923 Å, 2θ 30.58, I = 42
1.803 Å, 2θ 50.63, I = 38
1.543 Å, 2θ 59.94, I = 32
2.962 Å, 2θ 30.17, I = 24

Structural model:
```
data_TlIrOsO6
_cell_length_a 7.130
_cell_length_b 7.273
_cell_length_c 10.215
_cell_angle_alpha 90.00
_cell_angle_beta 90.00
_cell_angle_gamma 90.00
_space_group_name_H-M_alt 'I m m a'
_space_group_IT_number 74
_space_group_name_Hall '-I 2b 2'
loop_
_atom_site_label
_atom_site_type_symbol
_atom_site_fract_x
_atom_site_fract_y
_atom_site_fract_z
Tl1 Tl 0.000 0.250 0.103
Ir1 Ir 0.250 0.250 0.750
Os1 Os 0.000 0.000 0.500
O1 O 0.000 0.250 0.441
O2 O 0.000 0.250 0.827
O3 O 0.191 0.053 0.624
```

=====

(5)
For PuThTlPb, a structure optimized by DFT (GGA-PBE) gives the calculated X-ray powder pattern in this record (Cu Ka).

Main lines, in order of falling intensity (2θ from 15° to 90°):
2.806 Å, 2θ 31.89, I = 100
2.498 Å, 2θ 35.96, I = 18
2.472 Å, 2θ 36.35, I = 18
1.495 Å, 2θ 62.10, I = 15
1.484 Å, 2θ 62.61, I = 15
2.332 Å, 2θ 38.61, I = 15

Structural model:
```
data_PuThTlPb
_cell_length_a 4.664
_cell_length_b 4.944
_cell_length_c 4.995
_cell_angle_alpha 90.00
_cell_angle_beta 90.00
_cell_angle_gamma 90.00
_space_group_name_H-M_alt 'P m m m'
_space_group_IT_number 47
loop_
_space_group_symop_operation_xyz
'x,y,z'
'-x,-y,-z'
'-x,-y,z'
'x,y,-z'
'x,-y,-z'
'-x,y,z'
'-x,y,-z'
'x,-y,z'
loop_
_atom_site_label
_atom_site_type_symbol
_atom_site_fract_x
_atom_site_fract_y
_atom_site_fract_z
Pu1 Pu 0.000 0.000 0.000
Th1 Th 0.000 0.500 0.500
Tl1 Tl 0.500 0.500 0.000
Pb1 Pb 0.500 0.000 0.500
```

=====

(6)
For LiMgZr2C, a structure optimized by DFT (GGA-PBE) gives the calculated X-ray powder pattern in this record (Cu Ka).

Main lines, in order of falling intensity (2θ from 15° to 90°):
2.704 Å, 2θ 33.13, I = 100
4.145 Å, 2θ 21.44, I = 94
3.567 Å, 2θ 24.96, I = 70
2.522 Å, 2θ 35.59, I = 68
2.155 Å, 2θ 41.93, I = 64
1.601 Å, 2θ 57.56, I = 32

Structural model:
```
data_LiMgZr2C
_cell_length_a 5.045
_cell_length_b 5.045
_cell_length_c 4.145
_cell_angle_alpha 90.00
_cell_angle_beta 90.00
_cell_angle_gamma 90.00
_space_group_name_H-M_alt 'P 4/m m m'
_space_group_IT_number 123
_space_group_name_Hall '-P 4 2'
loop_
_atom_site_label
_atom_site_type_symbol
_atom_site_fract_x
_atom_site_fract_y
_atom_site_fract_z
Li1 Li 0.000 0.000 0.000
Mg1 Mg 0.000 0.000 0.500
Zr1 Zr 0.000 0.500 0.500
C1 C 0.500 0.500 0.000
```

=====

(7)
For LiGa2AgTe4, a structure optimized by DFT (GGA-PBE) gives the calculated X-ray powder pattern in this record (Cu Ka).

Main lines, in order of falling intensity (2θ from 15° to 90°):
3.620 Å, 2θ 24.59, I = 100
2.242 Å, 2θ 40.23, I = 49
1.861 Å, 2θ 48.96, I = 30
2.169 Å, 2θ 41.64, I = 22
1.955 Å, 2θ 46.45, I = 17
1.266 Å, 2θ 75.04, I = 15

Structural model:
```
data_LiGa2AgTe4
_cell_length_a 6.135
_cell_length_b 6.135
_cell_length_c 13.139
_cell_angle_alpha 90.00
_cell_angle_beta 90.00
_cell_angle_gamma 90.00
_space_group_name_H-M_alt 'I -4 2 m'
_space_group_IT_number 121
_space_group_name_Hall 'I -4 2'
loop_
_atom_site_label
_atom_site_type_symbol
_atom_site_fract_x
_atom_site_fract_y
_atom_site_fract_z
Li1 Li 0.000 0.000 0.000
Ga1 Ga 0.000 0.500 0.250
Ag1 Ag 0.000 0.000 0.500
Te1 Te 0.245 0.245 0.870
```

=====

(8)
For Ac2TbSe4, a structure optimized by DFT (GGA-PBE) gives the calculated X-ray powder pattern in this record (Cu Ka).

Main lines, in order of falling intensity (2θ from 15° to 90°):
2.867 Å, 2θ 31.20, I = 100
2.492 Å, 2θ 36.04, I = 50
4.321 Å, 2θ 20.56, I = 46
3.740 Å, 2θ 23.79, I = 42
2.881 Å, 2θ 31.04, I = 30
2.127 Å, 2θ 42.51, I = 29

Structural model:
```
data_Ac2TbSe4
_cell_length_a 13.931
_cell_length_b 4.148
_cell_length_c 8.707
_cell_angle_alpha 90.00
_cell_angle_beta 121.33
_cell_angle_gamma 90.00
_space_group_name_H-M_alt 'C 1 2/m 1'
_space_group_IT_number 12
loop_
_space_group_symop_operation_xyz
'x,y,z'
'-x,-y,-z'
'-x,y,-z'
'x,-y,z'
'x+1/2,y+1/2,z'
'-x+1/2,-y+1/2,-z'
'-x+1/2,y+1/2,-z'
'x+1/2,-y+1/2,z'
loop_
_atom_site_label
_atom_site_type_symbol
_atom_site_fract_x
_atom_site_fract_y
_atom_site_fract_z
Ac1 Ac 0.147 0.000 0.202
Tb1 Tb 0.000 0.500 0.500
Se1 Se 0.057 0.500 0.868
Se2 Se 0.163 0.000 0.579
```